[1]
Simulated powder XRD pattern
Compound: LiB8
Radiation: Cu Ka
Structure: a structure optimized by DFT (PBE)
Lines closer than 0.1° are merged.

Principal peaks in the range 2θ from 15° to 90°, by angle:
| (hkl) | two_theta | d [Å] | Rel. int. |
| --- | --- | --- | --- |
| 0 0 1 | 17.82 | 4.979 | 100.0 |
| 0 1 0 | 20.43 | 4.348 | 12.2 |
| 0 1 1 | 26.37 | 3.380 | 7.6 |
| 0 1 -1 | 28.07 | 3.179 | 19.4 |
| 1 0 1 | 33.23 | 2.696 | 11.7 |
| 1 1 1 | 35.09 | 2.558 | 11.0 |
| 0 0 2 | 36.08 | 2.489 | 28.6 |
| 1 1 -1 | 36.52 | 2.461 | 24.0 |
| 2 2 0 | 64.17 | 1.451 | 7.9 |
| 0 3 1 | 66.05 | 1.415 | 11.5 |
| -2 1 1 | 69.22 | 1.357 | 7.7 |
| 2 -1 1 | 69.93 | 1.345 | 8.1 |

Structure:
```
data_LiB8
_chemical_formula_sum 'Li1 B8'
_space_group_name_H-M_alt 'P -1'
_space_group_IT_number 2
_cell_length_a 3.282
_cell_length_b 4.468
_cell_length_c 4.989
_cell_angle_alpha 86.33
_cell_angle_beta 88.99
_cell_angle_gamma 77.15
loop_
_space_group_symop_operation_xyz
'x,y,z'
'-x,-y,-z'
loop_
_atom_site_label
_atom_site_fract_x
_atom_site_fract_y
_atom_site_fract_z
Li1 0.000 0.000 0.000
B1 0.097 0.663 0.593
B2 0.251 0.999 0.490
B3 0.257 0.482 0.929
B4 0.400 0.304 0.629
```

---

[2]
Simulated powder XRD pattern
Compound: Ac2Pr6Dy3
Radiation: Cu Ka
Structure: a structure optimized by DFT (PBE)
Lines closer than 0.1° are merged.

Principal peaks in the range 2θ from 15° to 90°, by angle:
| (hkl) | two_theta | d [Å] | Rel. int. |
| --- | --- | --- | --- |
| 1 2 -1 | 29.41 | 3.037 | 100.0 |
| 2 0 1 | 34.04 | 2.634 | 34.0 |
| 1 -3 0 | 34.18 | 2.624 | 16.8 |
| 3 1 -2 | 48.85 | 1.864 | 6.2 |
| 1 3 1 | 48.98 | 1.860 | 24.4 |
| -2 2 3 | 49.06 | 1.857 | 6.2 |
| 3 2 0 | 58.07 | 1.588 | 22.1 |
| 1 0 -5 | 58.16 | 1.586 | 7.2 |
| 0 5 -1 | 58.28 | 1.583 | 14.6 |
| 2 4 -2 | 60.98 | 1.519 | 9.5 |
| 2 5 0 | 79.40 | 1.207 | 10.2 |
| 3 3 2 | 81.77 | 1.178 | 5.5 |

Structure:
```
data_Ac2Pr6Dy3
_chemical_formula_sum 'Ac2 Pr6 Dy3'
_space_group_name_H-M_alt 'P -1'
_space_group_IT_number 2
_cell_length_a 6.453
_cell_length_b 8.303
_cell_length_c 8.320
_cell_angle_alpha 107.58
_cell_angle_beta 97.42
_cell_angle_gamma 104.80
loop_
_space_group_symop_operation_xyz
'x,y,z'
'-x,-y,-z'
loop_
_atom_site_label
_atom_site_fract_x
_atom_site_fract_y
_atom_site_fract_z
Ac1 0.229 0.406 0.050
Pr1 0.045 0.684 0.415
Pr2 0.140 0.046 0.237
Pr3 0.319 0.779 0.862
Dy1 0.412 0.134 0.676
Dy2 0.500 0.500 0.500
```

---

[3]
Simulated powder XRD pattern
Compound: Tb4Pr5In2
Radiation: Cu Ka
Structure: a structure optimized by DFT (PBE)
Lines closer than 0.1° are merged.

Principal peaks in the range 2θ from 15° to 90°, by angle:
| (hkl) | two_theta | d [Å] | Rel. int. |
| --- | --- | --- | --- |
| 4 0 2 | 27.20 | 3.278 | 20.5 |
| 1 1 1 | 27.49 | 3.245 | 50.8 |
| 8 0 -1 | 31.26 | 2.861 | 82.9 |
| 2 0 -3 | 31.87 | 2.808 | 52.7 |
| 6 0 2 | 32.73 | 2.736 | 53.1 |
| 5 1 1 | 33.87 | 2.647 | 100.0 |
| 3 1 -2 | 34.06 | 2.632 | 95.3 |
| 0 2 0 | 51.09 | 1.788 | 22.3 |
| 3 1 4 | 52.60 | 1.740 | 38.4 |
| 8 2 -1 | 61.12 | 1.516 | 24.5 |
| 5 1 -5 | 62.08 | 1.495 | 22.6 |
| 11 1 3 | 62.87 | 1.478 | 21.0 |

Structure:
```
data_Tb4Pr5In2
_chemical_formula_sum 'Tb8 Pr10 In4'
_space_group_name_H-M_alt 'C 1 2/m 1'
_space_group_IT_number 12
_cell_length_a 23.575
_cell_length_b 3.575
_cell_length_c 8.505
_cell_angle_alpha 90.00
_cell_angle_beta 95.82
_cell_angle_gamma 90.00
loop_
_space_group_symop_operation_xyz
'x,y,z'
'-x,-y,-z'
'-x,y,-z'
'x,-y,z'
'x+1/2,y+1/2,z'
'-x+1/2,-y+1/2,-z'
'-x+1/2,y+1/2,-z'
'x+1/2,-y+1/2,z'
loop_
_atom_site_label
_atom_site_fract_x
_atom_site_fract_y
_atom_site_fract_z
Tb1 0.036 0.000 0.350
Tb2 0.229 0.500 0.825
Pr1 0.000 0.500 0.000
Pr2 0.127 0.000 0.018
Pr3 0.180 0.000 0.478
In1 0.085 0.500 0.678
```

---

[4]
Simulated powder XRD pattern
Compound: PmMg2BiO6
Radiation: Cu Ka
Structure: a structure optimized by DFT (PBE)
Lines closer than 0.1° are merged.

Principal peaks in the range 2θ from 15° to 90°, by angle:
| (hkl) | two_theta | d [Å] | Rel. int. |
| --- | --- | --- | --- |
| 0 1 2 | 22.20 | 4.005 | 100.0 |
| 1 0 4 | 30.74 | 2.908 | 66.4 |
| 1 1 0 | 32.42 | 2.761 | 55.5 |
| 2 0 2 | 39.64 | 2.273 | 26.4 |
| 0 2 4 | 45.28 | 2.003 | 26.8 |
| 2 -1 6 | 49.85 | 1.829 | 33.3 |
| 3 -2 2 | 52.11 | 1.755 | 21.1 |
| 0 1 8 | 53.57 | 1.711 | 10.9 |
| 3 -1 4 | 56.79 | 1.621 | 26.4 |
| 3 0 0 | 57.84 | 1.594 | 18.1 |
| 1 0 10 | 66.73 | 1.402 | 11.2 |
| 1 3 4 | 76.35 | 1.247 | 10.0 |

Structure:
```
data_PmMg2BiO6
_chemical_formula_sum 'Pm3 Mg6 Bi3 O18'
_space_group_name_H-M_alt 'R 3'
_space_group_IT_number 146
_space_group_name_Hall 'R 3'
_cell_length_a 5.5227
_cell_length_b 5.5227
_cell_length_c 14.6540
_cell_angle_alpha 90.00
_cell_angle_beta 90.00
_cell_angle_gamma 120.00
loop_
_atom_site_label
_atom_site_fract_x
_atom_site_fract_y
_atom_site_fract_z
Pm1 0.0000 0.0000 0.0000
Mg1 0.0000 0.0000 0.2746
Mg2 0.0000 0.0000 0.7792
Bi1 0.0000 0.0000 0.4820
O1 0.0121 0.3142 0.8755
O2 0.0250 0.6183 0.0465
```

---

[5]
Simulated powder XRD pattern
Compound: SrNd2Ni9
Radiation: Cu Ka
Structure: a structure optimized by DFT (PBE)
Lines closer than 0.1° are merged.

Principal peaks in the range 2θ from 15° to 90°, by angle:
| (hkl) | two_theta | d [Å] | Rel. int. |
| --- | --- | --- | --- |
| 1 0 7 | 32.62 | 2.745 | 43.2 |
| 1 1 0 | 35.19 | 2.550 | 51.8 |
| 0 1 8 | 35.64 | 2.519 | 37.4 |
| 0 2 1 | 41.03 | 2.200 | 40.6 |
| 1 1 6 | 41.74 | 2.164 | 100.0 |
| 0 2 4 | 43.55 | 2.078 | 18.8 |
| 2 0 5 | 45.01 | 2.014 | 29.3 |
| 0 1 11 | 45.57 | 1.991 | 24.5 |
| 2 1 7 | 61.52 | 1.507 | 13.8 |
| 1 2 8 | 63.44 | 1.466 | 13.8 |
| 3 0 6 | 67.63 | 1.385 | 22.4 |
| 2 2 0 | 74.39 | 1.275 | 25.4 |

Structure:
```
data_SrNd2Ni9
_chemical_formula_sum 'Sr3 Nd6 Ni27'
_space_group_name_H-M_alt 'R -3 m'
_space_group_IT_number 166
_space_group_name_Hall '-R 3 2"'
_cell_length_a 5.1008
_cell_length_b 5.1008
_cell_length_c 24.5290
_cell_angle_alpha 90.00
_cell_angle_beta 90.00
_cell_angle_gamma 120.00
loop_
_atom_site_label
_atom_site_fract_x
_atom_site_fract_y
_atom_site_fract_z
Sr1 0.0000 0.0000 0.0000
Nd1 0.0000 0.0000 0.1384
Ni1 0.0000 0.0000 0.3322
Ni2 0.0000 0.0000 0.5000
Ni3 0.0007 0.5004 0.0814
```

---

[6]
Simulated powder XRD pattern
Compound: Sc8CdFe2
Radiation: Cu Ka
Structure: a structure optimized by DFT (PBE)
Lines closer than 0.1° are merged.

Principal peaks in the range 2θ from 15° to 90°, by angle:
| (hkl) | two_theta | d [Å] | Rel. int. |
| --- | --- | --- | --- |
| 0 0 1 | 22.91 | 3.881 | 23.0 |
| 1 3 0 | 23.14 | 3.844 | 29.0 |
| 1 3 -1 | 25.84 | 3.448 | 15.2 |
| 0 4 1 | 33.81 | 2.651 | 41.2 |
| 3 1 -1 | 34.26 | 2.617 | 33.8 |
| 1 5 -1 | 35.93 | 2.500 | 25.9 |
| 2 0 -2 | 36.58 | 2.457 | 61.7 |
| 0 6 0 | 37.16 | 2.420 | 22.4 |
| 1 3 1 | 38.62 | 2.332 | 100.0 |
| 2 6 -1 | 44.10 | 2.053 | 25.5 |
| 4 0 -1 | 46.86 | 1.939 | 16.1 |
| 1 3 -3 | 67.21 | 1.393 | 17.1 |

Structure:
```
data_Sc8CdFe2
_chemical_formula_sum 'Sc16 Cd2 Fe4'
_space_group_name_H-M_alt 'C 1 m 1'
_space_group_IT_number 8
_cell_length_a 8.008
_cell_length_b 14.518
_cell_length_c 4.913
_cell_angle_alpha 90.00
_cell_angle_beta 127.78
_cell_angle_gamma 90.00
loop_
_space_group_symop_operation_xyz
'x,y,z'
'x,-y,z'
'x+1/2,y+1/2,z'
'x+1/2,-y+1/2,z'
loop_
_atom_site_label
_atom_site_fract_x
_atom_site_fract_y
_atom_site_fract_z
Sc1 0.000 0.000 0.000
Sc2 0.040 0.387 0.540
Sc3 0.264 0.000 0.763
Sc4 0.379 0.211 0.879
Sc5 0.412 0.331 0.413
Cd1 0.200 0.500 0.200
Fe1 0.181 0.169 0.182
```

---

[7]
Simulated powder XRD pattern
Compound: Zr4TaZn3
Radiation: Cu Ka
Structure: a structure optimized by DFT (PBE)
Lines closer than 0.1° are merged.

Principal peaks in the range 2θ from 15° to 90°, by angle:
| (hkl) | two_theta | d [Å] | Rel. int. |
| --- | --- | --- | --- |
| 0 0 3 | 19.62 | 4.525 | 2.3 |
| 1 0 1 | 27.28 | 3.269 | 4.6 |
| 1 0 2 | 29.61 | 3.017 | 4.1 |
| 1 0 3 | 33.16 | 2.702 | 4.4 |
| 1 0 4 | 37.62 | 2.391 | 100.0 |
| 1 1 0 | 37.77 | 2.382 | 49.8 |
| 0 0 8 | 54.05 | 1.697 | 8.4 |
| 2 0 0 | 54.48 | 1.684 | 16.8 |
| 1 1 8 | 67.81 | 1.382 | 16.6 |
| 2 1 4 | 68.10 | 1.377 | 33.9 |
| 2 0 8 | 80.32 | 1.195 | 10.2 |
| 2 2 0 | 80.68 | 1.191 | 5.2 |

Structure:
```
data_Zr4TaZn3
_chemical_formula_sum 'Zr4 Ta1 Zn3'
_space_group_name_H-M_alt 'P 4/m m m'
_space_group_IT_number 123
_space_group_name_Hall '-P 4 2'
_cell_length_a 3.369
_cell_length_b 3.369
_cell_length_c 13.574
_cell_angle_alpha 90.00
_cell_angle_beta 90.00
_cell_angle_gamma 90.00
loop_
_atom_site_label
_atom_site_fract_x
_atom_site_fract_y
_atom_site_fract_z
Zr1 0.000 0.000 0.123
Zr2 0.000 0.000 0.370
Ta1 0.500 0.500 0.500
Zn1 0.500 0.500 0.000
Zn2 0.500 0.500 0.245
```

---

[8]
Simulated powder XRD pattern
Compound: La4Y3Ho
Radiation: Cu Ka
Structure: a structure optimized by DFT (PBE)
Lines closer than 0.1° are merged.

Principal peaks in the range 2θ from 15° to 90°, by angle:
| (hkl) | two_theta | d [Å] | Rel. int. |
| --- | --- | --- | --- |
| 2 0 -1 | 15.38 | 5.759 | 19.1 |
| 0 0 2 | 27.96 | 3.191 | 22.4 |
| 8 0 0 | 28.60 | 3.121 | 41.9 |
| 2 0 2 | 29.11 | 3.068 | 13.3 |
| 1 1 -1 | 29.56 | 3.022 | 29.4 |
| 4 0 -2 | 31.06 | 2.880 | 12.5 |
| 3 1 1 | 31.48 | 2.842 | 100.0 |
| 8 0 1 | 32.31 | 2.771 | 23.0 |
| 6 0 2 | 35.97 | 2.497 | 15.8 |
| 7 1 -1 | 38.63 | 2.331 | 18.7 |
| 13 1 1 | 57.08 | 1.614 | 14.3 |
| 15 1 -1 | 63.22 | 1.471 | 12.1 |

Structure:
```
data_La4Y3Ho
_chemical_formula_sum 'La8 Y6 Ho2'
_space_group_name_H-M_alt 'C 1 2/m 1'
_space_group_IT_number 12
_cell_length_a 25.010
_cell_length_b 3.456
_cell_length_c 6.385
_cell_angle_alpha 90.00
_cell_angle_beta 91.85
_cell_angle_gamma 90.00
loop_
_space_group_symop_operation_xyz
'x,y,z'
'-x,-y,-z'
'-x,y,-z'
'x,-y,z'
'x+1/2,y+1/2,z'
'-x+1/2,-y+1/2,-z'
'-x+1/2,y+1/2,-z'
'x+1/2,-y+1/2,z'
loop_
_atom_site_label
_atom_site_fract_x
_atom_site_fract_y
_atom_site_fract_z
La1 0.107 0.000 0.243
La2 0.221 0.500 0.250
Y1 0.000 0.000 0.500
Y2 0.138 0.000 0.749
Ho1 0.000 0.500 0.000
```

---

[9]
Simulated powder XRD pattern
Compound: SrZn5
Radiation: Cu Ka
Structure: a structure optimized by DFT (PBE)
Lines closer than 0.1° are merged.

Principal peaks in the range 2θ from 15° to 90°, by angle:
| (hkl) | two_theta | d [Å] | Rel. int. |
| --- | --- | --- | --- |
| 3 1 1 | 29.60 | 3.018 | 39.6 |
| 4 1 0 | 32.04 | 2.794 | 44.7 |
| 1 1 2 | 32.30 | 2.771 | 100.0 |
| 3 0 2 | 33.69 | 2.661 | 81.7 |
| 4 1 1 | 34.79 | 2.579 | 36.7 |
| 2 2 1 | 38.94 | 2.313 | 94.3 |
| 3 2 1 | 41.98 | 2.152 | 46.5 |
| 4 2 0 | 43.80 | 2.067 | 60.0 |
| 1 2 2 | 44.02 | 2.057 | 43.2 |
| 1 1 3 | 44.52 | 2.035 | 40.2 |
| 6 1 0 | 44.77 | 2.024 | 33.9 |
| 10 2 0 | 81.79 | 1.178 | 32.1 |

Structure:
```
data_SrZn5
_chemical_formula_sum 'Sr4 Zn20'
_space_group_name_H-M_alt 'P n m a'
_space_group_IT_number 62
_cell_length_a 13.134
_cell_length_b 5.318
_cell_length_c 6.703
_cell_angle_alpha 90.00
_cell_angle_beta 90.00
_cell_angle_gamma 90.00
loop_
_space_group_symop_operation_xyz
'x,y,z'
'-x,-y,-z'
'-x+1/2,-y,z+1/2'
'x+1/2,y,-z+1/2'
'x+1/2,-y+1/2,-z+1/2'
'-x+1/2,y+1/2,z+1/2'
'-x,y+1/2,-z'
'x,-y+1/2,z'
loop_
_atom_site_label
_atom_site_fract_x
_atom_site_fract_y
_atom_site_fract_z
Sr1 0.090 0.250 0.147
Zn1 0.021 0.750 0.401
Zn2 0.143 0.000 0.654
Zn3 0.206 0.750 0.957
Zn4 0.214 0.750 0.339
```

---

[10]
Simulated powder XRD pattern
Compound: CsTcIO6
Radiation: Cu Ka
Structure: a structure optimized by DFT (PBE)
Lines closer than 0.1° are merged.

Principal peaks in the range 2θ from 15° to 90°, by angle:
| (hkl) | two_theta | d [Å] | Rel. int. |
| --- | --- | --- | --- |
| 0 1 -1 | 22.28 | 3.990 | 55.4 |
| 0 1 1 | 22.39 | 3.970 | 58.3 |
| 1 0 1 | 23.09 | 3.851 | 100.0 |
| 1 1 -1 | 23.52 | 3.782 | 88.3 |
| 0 0 2 | 26.96 | 3.307 | 46.5 |
| 1 -1 0 | 31.81 | 2.814 | 64.4 |
| 2 1 0 | 33.89 | 2.645 | 32.6 |
| 2 0 -1 | 41.23 | 2.190 | 18.0 |
| 1 -1 2 | 41.79 | 2.162 | 29.2 |
| 1 2 2 | 42.05 | 2.149 | 28.1 |
| 2 1 -2 | 44.32 | 2.044 | 22.9 |
| 2 1 4 | 65.97 | 1.416 | 24.0 |

Structure:
```
data_CsTcIO6
_chemical_formula_sum 'Cs1 Tc1 I1 O6'
_space_group_name_H-M_alt 'P 1'
_space_group_IT_number 1
_cell_length_a 5.291
_cell_length_b 5.634
_cell_length_c 6.615
_cell_angle_alpha 89.67
_cell_angle_beta 88.75
_cell_angle_gamma 62.19
loop_
_space_group_symop_operation_xyz
'x,y,z'
loop_
_atom_site_label
_atom_site_fract_x
_atom_site_fract_y
_atom_site_fract_z
Cs1 0.000 0.000 0.000
Tc1 0.333 0.330 0.516
I1 0.674 0.663 0.502
O1 0.017 0.635 0.357
O2 0.388 0.101 0.318
O3 0.406 0.590 0.678
O4 0.545 0.050 0.692
O5 0.655 0.383 0.351
O6 0.982 0.414 0.678
```

---

[11]
Simulated powder XRD pattern
Compound: NaMg14BO15
Radiation: Cu Ka
Structure: a structure optimized by DFT (PBE)
Lines closer than 0.1° are merged.

Principal peaks in the range 2θ from 15° to 90°, by angle:
| (hkl) | two_theta | d [Å] | Rel. int. |
| --- | --- | --- | --- |
| 0 3 0 | 32.52 | 2.753 | 3.7 |
| 1 2 2 | 36.52 | 2.460 | 37.4 |
| 0 0 4 | 41.58 | 2.172 | 96.6 |
| 2 0 0 | 41.82 | 2.160 | 100.0 |
| 0 4 0 | 43.84 | 2.065 | 73.8 |
| 2 0 4 | 60.45 | 1.531 | 54.2 |
| 0 4 4 | 62.01 | 1.497 | 43.2 |
| 2 4 0 | 62.20 | 1.493 | 44.9 |
| 1 2 6 | 72.56 | 1.303 | 7.6 |
| 3 2 2 | 72.90 | 1.298 | 8.1 |
| 1 6 2 | 75.75 | 1.256 | 9.6 |
| 2 4 4 | 77.62 | 1.230 | 40.2 |

Structure:
```
data_NaMg14BO15
_chemical_formula_sum 'Na1 Mg14 B1 O15'
_space_group_name_H-M_alt 'P m m 2'
_space_group_IT_number 25
_cell_length_a 4.320
_cell_length_b 8.260
_cell_length_c 8.688
_cell_angle_alpha 90.00
_cell_angle_beta 90.00
_cell_angle_gamma 90.00
loop_
_space_group_symop_operation_xyz
'x,y,z'
'-x,-y,z'
'-x,y,z'
'x,-y,z'
loop_
_atom_site_label
_atom_site_fract_x
_atom_site_fract_y
_atom_site_fract_z
Na1 0.000 0.000 0.000
Mg1 0.000 0.000 0.498
Mg2 0.000 0.248 0.746
Mg3 0.000 0.258 0.252
Mg4 0.000 0.500 0.495
Mg5 0.500 0.000 0.244
Mg6 0.500 0.000 0.752
Mg7 0.500 0.250 0.499
Mg8 0.500 0.259 0.996
Mg9 0.500 0.500 0.235
Mg10 0.500 0.500 0.753
B1 0.000 0.500 0.934
O1 0.000 0.000 0.258
O2 0.000 0.000 0.740
O3 0.000 0.253 0.505
O4 0.000 0.328 0.987
O5 0.000 0.500 0.269
O6 0.500 0.000 0.498
O7 0.500 0.000 0.997
O8 0.500 0.251 0.750
O9 0.500 0.252 0.243
O10 0.500 0.500 0.511
O11 0.500 0.500 0.987
```

---

[12]
Simulated powder XRD pattern
Compound: La3In8Pt3
Radiation: Cu Ka
Structure: a structure optimized by DFT (PBE)
Lines closer than 0.1° are merged.

Principal peaks in the range 2θ from 15° to 90°, by angle:
| (hkl) | two_theta | d [Å] | Rel. int. |
| --- | --- | --- | --- |
| 6 0 -2 | 31.00 | 2.885 | 47.5 |
| 1 1 2 | 32.09 | 2.789 | 100.0 |
| 5 1 -1 | 32.65 | 2.743 | 54.6 |
| 3 1 -3 | 32.86 | 2.726 | 51.3 |
| 1 1 -3 | 35.28 | 2.544 | 60.1 |
| 0 2 0 | 37.38 | 2.406 | 78.0 |
| 6 0 0 | 38.07 | 2.364 | 33.9 |
| 3 1 -4 | 41.45 | 2.179 | 49.0 |
| 7 1 -3 | 41.80 | 2.161 | 40.6 |
| 6 2 -2 | 49.32 | 1.848 | 26.0 |
| 6 2 0 | 54.42 | 1.686 | 23.8 |
| 3 1 4 | 62.23 | 1.492 | 41.3 |

Structure:
```
data_La3In8Pt3
_chemical_formula_sum 'La6 In16 Pt6'
_space_group_name_H-M_alt 'C 1 2/m 1'
_space_group_IT_number 12
_cell_length_a 17.308
_cell_length_b 4.812
_cell_length_c 9.922
_cell_angle_alpha 90.00
_cell_angle_beta 124.98
_cell_angle_gamma 90.00
loop_
_space_group_symop_operation_xyz
'x,y,z'
'-x,-y,-z'
'-x,y,-z'
'x,-y,z'
'x+1/2,y+1/2,z'
'-x+1/2,-y+1/2,-z'
'-x+1/2,y+1/2,-z'
'x+1/2,-y+1/2,z'
loop_
_atom_site_label
_atom_site_fract_x
_atom_site_fract_y
_atom_site_fract_z
La1 0.000 0.000 0.000
La2 0.216 0.500 0.720
In1 0.006 0.500 0.672
In2 0.140 0.000 0.437
In3 0.151 0.500 0.277
In4 0.153 0.000 0.868
Pt1 0.000 0.000 0.500
Pt2 0.149 0.500 0.004
```